[1]
Structure and calculated powder X-ray diffraction pattern of Zn2Sb (a DFT-relaxed cell (PBE, Alexandria); Cu Kα).

Atomic structure:
Cell lengths 4.5492, 4.5492, 4.5492 Å; angles 120.93, 106.83, 101.33 degrees
Fractional positions:
Zn (0.2170, 0.2170, 0.0000)
Zn (0.7830, 0.7830, 0.0000)
Sb (0.5000, 0.0000, 0.5000)

Most intense lines, 15 to 90 degrees two-theta, in order of rising 2θ:
- 2θ = 22.51°, I 31.5
- 2θ = 25.15°, I 64.7
- 2θ = 33.04°, I 49.3
- 2θ = 40.21°, I 28.5
- 2θ = 40.75°, I 100.0
- 2θ = 41.97°, I 32.7

[2]
Structure and calculated powder X-ray diffraction pattern of Zn2Sb3 (a DFT-relaxed cell (PBE, Alexandria); Cu Kα).

Atomic structure:
Cell lengths 6.5805, 6.5805, 6.5805 Å; angles 71.31, 71.31, 71.31 degrees
Fractional positions:
Zn (0.1582, 0.1582, 0.1582)
Zn (0.3418, 0.3418, 0.3418)
Zn (0.6582, 0.6582, 0.6582)
Zn (0.8418, 0.8418, 0.8418)
Sb (0.0935, 0.7500, 0.4065)
Sb (0.2500, 0.5935, 0.9065)
Sb (0.4065, 0.0935, 0.7500)
Sb (0.5935, 0.9065, 0.2500)
Sb (0.7500, 0.4065, 0.0935)
Sb (0.9065, 0.2500, 0.5935)

Most intense lines, 15 to 90 degrees two-theta, in order of rising 2θ:
- 2θ = 29.65°, I 100.0
- 2θ = 40.75°, I 53.9
- 2θ = 44.07°, I 34.2
- 2θ = 51.20°, I 21.0
- 2θ = 67.40°, I 17.5
- 2θ = 76.48°, I 12.3

[3]
Structure and calculated powder X-ray diffraction pattern of Zn6Sb5 (a DFT-relaxed cell (PBE, Alexandria); Cu Kα).

Atomic structure:
Cell lengths 8.2184, 8.2184, 8.2184 Å; angles 97.19, 97.19, 97.19 degrees
Fractional positions:
Zn (0.0165, 0.3408, 0.9356)
Zn (0.0644, 0.9835, 0.6592)
Zn (0.1592, 0.4835, 0.5644)
Zn (0.3408, 0.9356, 0.0165)
Zn (0.4356, 0.8408, 0.5165)
Zn (0.4835, 0.5644, 0.1592)
Zn (0.5165, 0.4356, 0.8408)
Zn (0.5644, 0.1592, 0.4835)
Zn (0.6592, 0.0644, 0.9835)
Zn (0.8408, 0.5165, 0.4356)
Zn (0.9356, 0.0165, 0.3408)
Zn (0.9835, 0.6592, 0.0644)
Sb (0.1062, 0.7500, 0.3938)
Sb (0.1350, 0.1350, 0.1350)
Sb (0.2500, 0.6062, 0.8938)
Sb (0.3650, 0.3650, 0.3650)
Sb (0.3938, 0.1062, 0.7500)
Sb (0.6062, 0.8938, 0.2500)
Sb (0.6350, 0.6350, 0.6350)
Sb (0.7500, 0.3938, 0.1062)
Sb (0.8650, 0.8650, 0.8650)
Sb (0.8938, 0.2500, 0.6062)

Most intense lines, 15 to 90 degrees two-theta, in order of rising 2θ:
- 2θ = 25.02°, I 100.0
- 2θ = 26.40°, I 59.8
- 2θ = 30.19°, I 52.0
- 2θ = 36.44°, I 73.7
- 2θ = 44.07°, I 77.5
- 2θ = 44.72°, I 63.9

[4]
Structure and calculated powder X-ray diffraction pattern of ZrSb3 (a DFT-relaxed cell (PBE, Alexandria); Cu Kα).

Atomic structure:
Cell lengths 5.5877, 5.5877, 5.2990 Å; angles 97.07, 97.07, 38.35 degrees
Fractional positions:
Zr (0.0000, 0.0000, 0.0000)
Sb (0.2731, 0.2731, 0.7810)
Sb (0.5000, 0.5000, 0.5000)
Sb (0.7269, 0.7269, 0.2190)

Most intense lines, 15 to 90 degrees two-theta, in order of rising 2θ:
- 2θ = 31.55°, I 100.0
- 2θ = 34.27°, I 35.5
- 2θ = 36.21°, I 36.4
- 2θ = 38.01°, I 61.9
- 2θ = 40.39°, I 23.5
- 2θ = 57.98°, I 16.4

[5]
Structure and calculated powder X-ray diffraction pattern of Zr2Sb (a DFT-relaxed cell (PBE, Alexandria); Cu Kα).

Atomic structure:
Cell lengths 9.9419, 9.9419, 7.7936 Å; angles 90.00, 90.00, 158.68 degrees
Fractional positions:
Zr (0.0279, 0.9721, 0.5000)
Zr (0.1693, 0.8307, 0.8700)
Zr (0.3344, 0.6656, 0.0181)
Zr (0.4081, 0.5919, 0.6701)
Zr (0.5919, 0.4081, 0.1701)
Zr (0.6656, 0.3344, 0.5181)
Zr (0.8307, 0.1693, 0.3700)
Zr (0.9721, 0.0279, 0.0000)
Sb (0.2138, 0.7862, 0.2414)
Sb (0.4433, 0.5567, 0.2911)
Sb (0.5567, 0.4433, 0.7911)
Sb (0.7862, 0.2138, 0.7414)

Most intense lines, 15 to 90 degrees two-theta, in order of rising 2θ:
- 2θ = 33.46°, I 49.7
- 2θ = 35.44°, I 94.3
- 2θ = 35.76°, I 51.5
- 2θ = 35.94°, I 38.2
- 2θ = 36.31°, I 100.0
- 2θ = 38.63°, I 44.2

[6]
Structure and calculated powder X-ray diffraction pattern of ZrSb3 (a DFT-relaxed cell (PBE, Alexandria); Cu Kα).

Atomic structure:
Cell lengths 3.7667, 3.7667, 7.1033 Å; angles 90.00, 90.00, 90.00 degrees
Fractional positions:
Zr (0.0000, 0.0000, 0.0000)
Sb (0.0000, 0.0000, 0.5000)
Sb (0.5000, 0.5000, 0.2125)
Sb (0.5000, 0.5000, 0.7875)

Most intense lines, 15 to 90 degrees two-theta, in order of rising 2θ:
- 2θ = 33.65°, I 61.3
- 2θ = 34.72°, I 100.0
- 2θ = 48.33°, I 21.8
- 2θ = 60.86°, I 38.1
- 2θ = 62.90°, I 11.8
- 2θ = 80.66°, I 9.5